(1)
The following is a computed powder diffractogram of Sr2Nb2NO5. It was derived from a DFT-relaxed cell (GGA-PBE, OQMD), using Cu Kα (weighted mean of Kα1 and Kα2).

Most intense lines, 2θ from 5° to 70°, sorted by position:
| hkl | two_theta | d_spacing | intensity |
| --- | --- | --- | --- |
| 1 0 2 | 31.13 | 2.873 | 100.0 |
| 1 1 0 | 31.26 | 2.862 | 47.8 |
| 2 0 0 | 44.79 | 2.023 | 33.2 |
| 1 1 4 | 55.32 | 1.661 | 18.9 |
| 2 1 2 | 55.55 | 1.654 | 38.9 |
| 2 0 4 | 64.92 | 1.436 | 19.9 |

Cell and atoms:
Cell lengths 4.047, 4.047, 8.157 Å; angles 90.00, 90.00, 90.00 degrees
Space group P4/mmm (No. 123)
Unique sites:
Sr 0.000 0.000 0.000 (multiplicity 1)
Sr 0.000 0.000 0.500 (multiplicity 1)
Nb 0.500 0.500 0.244 (multiplicity 2)
N 0.500 0.500 0.000 (multiplicity 1)
O 0.000 0.500 0.256 (multiplicity 4)
O 0.500 0.500 0.500 (multiplicity 1)



(2)
The following is a computed powder diffractogram of DyEr2Mg5. It was derived from a DFT-relaxed cell (GGA-PBE, OQMD), using Cu Kα (weighted mean of Kα1 and Kα2).

Most intense lines, 2θ from 5° to 70°, sorted by position:
| hkl | two_theta | d_spacing | intensity |
| --- | --- | --- | --- |
| 0 2 0 | 23.24 | 3.828 | 28.6 |
| 1 0 2 | 24.21 | 3.676 | 51.6 |
| 1 2 2 | 33.81 | 2.651 | 100.0 |
| 0 0 4 | 34.30 | 2.615 | 23.8 |
| 2 0 0 | 34.71 | 2.585 | 23.4 |
| 1 2 6 | 61.11 | 1.516 | 17.9 |

Cell and atoms:
Cell lengths 5.169, 7.655, 10.458 Å; angles 90.00, 90.00, 90.00 degrees
Space group Amm2 (No. 38)
Unique sites:
Dy 0.000 0.000 0.000 (multiplicity 2)
Er 0.000 0.000 0.488 (multiplicity 2)
Er 0.500 0.000 0.743 (multiplicity 2)
Mg 0.000 0.245 0.244 (multiplicity 4)
Mg 0.500 0.000 0.244 (multiplicity 2)
Mg 0.500 0.250 0.493 (multiplicity 4)



Question: Number 2 is which compound?
Answer: DyEr2Mg5



Question: Which formula does entry 2 have?
Answer: DyEr2Mg5